Structure and calculated powder XRD pattern of Th2Br5 (DFT lattice parameters and positions (GGA-PBE); Cu Kα, 1.54184 Å).
No peak broadening, texture or thermal motion is included.

The 10 most intense peaks (2θ = 10–90°), in order of falling intensity:
2θ 30.95, I = 1000
2θ 44.33, I = 726
2θ 10.82, I = 635
2θ 28.90, I = 548
2θ 18.81, I = 383
2θ 73.25, I = 308
2θ 36.46, I = 250
2θ 55.04, I = 250
2θ 81.61, I = 228
2θ 21.75, I = 194

Crystal structure
```
data_Th2Br5
_chemical_formula_sum 'Th6 Br15'
_space_group_name_H-M_alt 'P 1'
_space_group_IT_number 1
_space_group_name_Hall 'P 1'
_cell_length_a 10.0099
_cell_length_b 10.0099
_cell_length_c 10.0099
_cell_angle_alpha 109.47
_cell_angle_beta 109.47
_cell_angle_gamma 109.47
loop_
_atom_site_label
_atom_site_fract_x
_atom_site_fract_y
_atom_site_fract_z
Th1 0.0000 0.2355 0.2355
Th2 0.0000 0.7645 0.7645
Th3 0.2355 0.0000 0.2355
Th4 0.2355 0.2355 0.0000
Th5 0.7645 0.0000 0.7645
Th6 0.7645 0.7645 0.0000
Br1 0.0000 0.2524 0.7476
Br2 0.0000 0.5000 0.5000
Br3 0.0000 0.7476 0.2524
Br4 0.2524 0.0000 0.7476
Br5 0.2524 0.2524 0.5047
Br6 0.2524 0.5047 0.2524
Br7 0.2524 0.7476 0.0000
Br8 0.4953 0.7476 0.7476
Br9 0.5000 0.0000 0.5000
Br10 0.5000 0.5000 0.0000
Br11 0.5047 0.2524 0.2524
Br12 0.7476 0.0000 0.2524
Br13 0.7476 0.2524 0.0000
Br14 0.7476 0.4953 0.7476
Br15 0.7476 0.7476 0.4953
```

Structure and calculated powder XRD pattern of TmSi4Ir4 (DFT lattice parameters and positions (GGA-PBE); Cu Kα, 1.54184 Å).
No peak broadening, texture or thermal motion is included.

The 10 most intense peaks (2θ = 10–90°), in order of falling intensity:
2θ 43.72, I = 1000
2θ 33.45, I = 974
2θ 31.22, I = 965
2θ 37.92, I = 590
2θ 14.79, I = 558
2θ 22.87, I = 543
2θ 54.11, I = 502
2θ 41.25, I = 442
2θ 71.02, I = 317
2θ 48.02, I = 283

Crystal structure
```
data_TmSi4Ir4
_chemical_formula_sum 'Tm1 Si4 Ir4'
_space_group_name_H-M_alt 'P 1'
_space_group_IT_number 1
_space_group_name_Hall 'P 1'
_cell_length_a 6.3780
_cell_length_b 6.3780
_cell_length_c 6.3780
_cell_angle_alpha 96.76
_cell_angle_beta 96.76
_cell_angle_gamma 139.87
loop_
_atom_site_label
_atom_site_fract_x
_atom_site_fract_y
_atom_site_fract_z
Tm1 0.0000 0.0000 0.0000
Si1 0.1972 0.3175 0.5147
Si2 0.3175 0.8028 0.1203
Si3 0.6825 0.1972 0.8797
Si4 0.8028 0.6825 0.4853
Ir1 0.0834 0.6499 0.7333
Ir2 0.3501 0.0834 0.4335
Ir3 0.6499 0.9166 0.5665
Ir4 0.9166 0.3501 0.2667
```